1.
For NaIn4Au6, a structure optimized by DFT (PBE) gives the calculated XRD peak list in this record (CuKα).

Top 10 peaks for 2θ from 10° to 80°, low angle first:
2θ (°)	I/Imax
12.9	29
22.5	18
32.7	16
34.6	24
39.5	25
40.0	100
53.6	17
62.1	17
72.1	18
76.2	16

Structure:
```
NaIn4Au6
1.0
7.9100 0.0000 0.0000
-3.9550 6.8503 0.0000
0.0000 0.0000 4.5584
Na In Au
1 4 6
Cartesian
0.0000 0.0000 0.0000 Na
-1.9762 4.9572 2.2792 In
0.6501 2.6603 2.2792 In
1.3261 6.0831 2.2792 In
3.9550 2.2834 0.0000 In
-1.0137 3.2063 0.0000 Au
-0.6714 6.1251 0.0000 Au
2.7332 0.9037 2.2792 Au
1.6852 4.3692 0.0000 Au
3.3710 4.0314 2.2792 Au
5.7608 1.9152 2.2792 Au
```



2.
For ErZn12, a structure optimized by DFT (PBE) gives the calculated XRD peak list in this record (CuKα).

Top 10 peaks for 2θ from 10° to 80°, low angle first:
2θ (°)	I/Imax
28.3	23
33.9	19
35.0	50
39.8	77
40.8	100
41.1	56
45.0	35
65.4	24
74.0	23
74.6	20

Structure:
```
ErZn12
1.0
-4.3955 4.3955 2.6419
4.3955 -4.3955 2.6419
4.3955 4.3955 -2.6419
Er Zn
1 12
Cartesian
0.0000 0.0000 0.0000 Er
2.1978 2.1978 -1.3209 Zn
3.0969 0.0000 0.0000 Zn
2.1978 -2.1978 1.3209 Zn
5.6941 0.0000 0.0000 Zn
4.3955 2.4876 0.0000 Zn
0.0000 3.0969 0.0000 Zn
-2.1978 2.1978 1.3209 Zn
2.4876 4.3955 0.0000 Zn
2.1978 2.1978 1.3209 Zn
1.9079 0.0000 2.6419 Zn
0.0000 5.6941 0.0000 Zn
0.0000 1.9079 2.6419 Zn
```



3.
For SrNdIrO6, a structure optimized by DFT (PBE) gives the calculated XRD peak list in this record (CuKα).

Top 10 peaks for 2θ from 10° to 80°, low angle first:
2θ (°)	I/Imax
17.6	41
17.8	14
25.1	100
31.1	62
36.0	38
40.4	27
48.0	55
51.8	27
55.3	20
67.6	14

Structure:
```
SrNdIrO6
1.0
5.7537 0.0000 0.0000
-2.8769 4.9829 0.0000
0.0000 0.0000 10.0725
Sr Nd Ir O
2 2 2 12
Cartesian
0.0000 0.0000 0.0000 Sr
0.0000 0.0000 5.0362 Sr
0.0000 3.3219 2.5181 Nd
2.8769 1.6610 7.5544 Nd
0.0000 3.3219 7.5544 Ir
2.8769 1.6610 2.5181 Ir
-0.8096 1.9533 6.4625 O
-1.5901 3.3051 8.6462 O
0.8096 1.9533 8.6462 O
-0.7805 4.7073 6.4625 O
2.0964 0.2755 1.4263 O
1.2868 1.6777 3.6100 O
1.5901 3.3051 6.4625 O
0.7805 4.7073 8.6462 O
3.6574 0.2755 3.6100 O
2.0673 3.0296 1.4263 O
4.4669 1.6777 1.4263 O
3.6864 3.0296 3.6100 O
```



4.
For Sr2Ge3Pt5, a structure optimized by DFT (PBE) gives the calculated XRD peak list in this record (CuKα).

Top 10 peaks for 2θ from 10° to 80°, low angle first:
2θ (°)	I/Imax
18.1	55
29.7	26
33.0	62
33.5	48
33.8	63
36.3	23
39.5	100
46.4	38
46.8	32
56.4	22

Structure:
```
Sr2Ge3Pt5
1.0
-4.8899 6.3897 3.2614
4.8899 -6.3897 3.2614
4.8899 6.3897 -3.2614
Sr Ge Pt
4 6 10
Cartesian
2.3652 1.6975 0.0000 Sr
2.3652 -1.6975 3.2614 Sr
2.5247 8.0872 0.0000 Sr
2.5247 4.6922 3.2614 Sr
6.1881 1.4911 0.0000 Ge
0.0000 0.0000 1.6307 Ge
1.2982 4.8986 0.0000 Ge
3.5917 1.4911 3.2614 Ge
0.0000 0.0000 4.8922 Ge
-1.2982 4.8986 3.2614 Ge
4.8899 -2.8638 1.6307 Pt
3.7723 -4.8679 3.2614 Pt
4.8899 0.0000 1.6307 Pt
3.7723 4.8679 0.0000 Pt
4.8899 2.8638 1.6307 Pt
0.0000 3.5259 1.6307 Pt
1.1176 1.5218 3.2614 Pt
0.0000 6.3897 1.6307 Pt
1.1176 11.2576 0.0000 Pt
0.0000 9.2534 1.6307 Pt
```